Entry 1:
The following is a theoretical powder X-ray diffraction pattern of K4Na4NbW7O24. It was derived from a structure optimized by DFT (GGA+U), using λ = 1.5418 Å (Cu Kα).
Peak positions follow from Bragg's law for the DFT cell and can differ from measured ones.

Largest 6 diffraction maxima, in order of rising 2θ, 2θ from 10° to 80°:
2theta	d (Å)	I (rel.)
22.18	4.007	83.5
31.57	2.834	100.0
45.26	2.004	32.8
50.96	1.792	36.3
56.23	1.636	39.7
65.93	1.417	19.7

Structural model:
```
data_K4Na4NbW7O24
_cell_length_a 8.0169
_cell_length_b 8.0169
_cell_length_c 8.0096
_cell_angle_alpha 90.00
_cell_angle_beta 90.00
_cell_angle_gamma 90.00
_symmetry_space_group_name_H-M 'P 4 m m'
_symmetry_Int_Tables_number 99
_symmetry_space_group_name_Hall 'P 4 -2'
loop_
_atom_site_label
_atom_site_type_symbol
_atom_site_fract_x
_atom_site_fract_y
_atom_site_fract_z
K1 K 0.2491 0.2491 0.0000
Na1 Na 0.2464 0.2464 0.4978
Nb1 Nb 0.0000 0.0000 0.2529
W1 W 0.0000 0.0000 0.7483
W2 W 0.0000 0.5000 0.2512
W3 W 0.0000 0.5000 0.7461
W4 W 0.5000 0.5000 0.2522
W5 W 0.5000 0.5000 0.7478
O1 O 0.0000 0.0000 0.5009
O2 O 0.0000 0.0000 0.9950
O3 O 0.0000 0.2504 0.7428
O4 O 0.0000 0.2520 0.2538
O5 O 0.0000 0.5000 0.0064
O6 O 0.0000 0.5000 0.4933
O7 O 0.2440 0.5000 0.2546
O8 O 0.2445 0.5000 0.7449
O9 O 0.5000 0.5000 0.0123
O10 O 0.5000 0.5000 0.4898
```

=====

Entry 2:
The following is a theoretical powder X-ray diffraction pattern of K5Na3Nb4W4O24. It was derived from a structure optimized by DFT (GGA+U), using λ = 1.5418 Å (Cu Kα).
Peak positions follow from Bragg's law for the DFT cell and can differ from measured ones.

Largest 6 diffraction maxima, in order of rising 2θ, 2θ from 10° to 80°:
2theta	d (Å)	I (rel.)
22.12	4.019	72.7
31.48	2.842	100.0
45.12	2.010	35.8
50.80	1.797	31.0
56.05	1.641	39.1
65.70	1.421	17.6

Structural model:
```
data_K5Na3Nb4W4O24
_cell_length_a 11.3607
_cell_length_b 11.3769
_cell_length_c 8.0369
_cell_angle_alpha 90.00
_cell_angle_beta 90.05
_cell_angle_gamma 90.00
_symmetry_space_group_name_H-M 'C 1 m 1'
_symmetry_Int_Tables_number 8
_symmetry_space_group_name_Hall 'C -2y'
loop_
_atom_site_label
_atom_site_type_symbol
_atom_site_fract_x
_atom_site_fract_y
_atom_site_fract_z
K1 K 0.0000 0.0000 0.0000
K2 K 0.9998 0.5000 0.0008
K3 K 0.0009 0.0000 0.4993
K4 K 0.2510 0.2491 0.9996
Na1 Na 0.2504 0.2467 0.4984
Na2 Na 0.4974 0.0000 0.4994
Nb1 Nb 0.0006 0.2510 0.7480
Nb2 Nb 0.2508 0.0000 0.2515
Nb3 Nb 0.2506 0.0000 0.7483
W1 W 0.0003 0.2507 0.2514
W2 W 0.2499 0.5000 0.2521
W3 W 0.2500 0.5000 0.7482
O1 O 0.0002 0.2531 0.5003
O2 O 0.0006 0.2496 0.0000
O3 O 0.1241 0.1276 0.2505
O4 O 0.1259 0.1266 0.7464
O5 O 0.1273 0.3754 0.2529
O6 O 0.1281 0.3784 0.7465
O7 O 0.2493 0.5000 0.5052
O8 O 0.2493 0.5000 0.9940
O9 O 0.2508 0.0000 0.4983
O10 O 0.2515 0.0000 0.0016
O11 O 0.3712 0.3773 0.7471
O12 O 0.3719 0.3739 0.2547
O13 O 0.3761 0.1250 0.7456
O14 O 0.3773 0.1260 0.2572
```

=====

Entry 3:
The following is a theoretical powder X-ray diffraction pattern of K5Na3Nb7WO24. It was derived from a structure optimized by DFT (GGA+U), using λ = 1.5418 Å (Cu Kα).
Peak positions follow from Bragg's law for the DFT cell and can differ from measured ones.

Largest 6 diffraction maxima, in order of rising 2θ, 2θ from 10° to 80°:
2theta	d (Å)	I (rel.)
21.93	4.053	31.9
22.07	4.028	63.3
31.31	2.857	100.0
31.41	2.848	49.9
45.02	2.014	40.6
55.86	1.646	37.9

Structural model:
```
data_K5Na3Nb7WO24
_cell_length_a 11.3937
_cell_length_b 11.3901
_cell_length_c 8.1053
_cell_angle_alpha 90.00
_cell_angle_beta 90.06
_cell_angle_gamma 90.00
_symmetry_space_group_name_H-M 'C 1 m 1'
_symmetry_Int_Tables_number 8
_symmetry_space_group_name_Hall 'C -2y'
loop_
_atom_site_label
_atom_site_type_symbol
_atom_site_fract_x
_atom_site_fract_y
_atom_site_fract_z
K1 K 0.0000 0.0000 0.0000
K2 K 0.9996 0.0000 0.4980
K3 K 0.2492 0.2495 0.4984
K4 K 0.4987 0.0000 0.4978
Na1 Na 0.2476 0.2442 0.0141
Na2 Na 0.4913 0.0000 0.0144
Nb1 Nb 0.2471 0.0000 0.7570
Nb2 Nb 0.2472 0.5000 0.2362
Nb3 Nb 0.2494 0.0000 0.2542
Nb4 Nb 0.4984 0.2503 0.2544
Nb5 Nb 0.4995 0.2464 0.7575
W1 W 0.2505 0.5000 0.7440
O1 O 0.9996 0.2502 0.4950
O2 O 0.0004 0.2518 0.9941
O3 O 0.1250 0.1260 0.7471
O4 O 0.1246 0.3759 0.2418
O5 O 0.1260 0.1263 0.2398
O6 O 0.1272 0.3784 0.7500
O7 O 0.2479 0.5000 0.9907
O8 O 0.2490 0.5000 0.5051
O9 O 0.2505 0.0000 0.4926
O10 O 0.2524 0.0000 0.9931
O11 O 0.3706 0.3775 0.7503
O12 O 0.3729 0.3744 0.2430
O13 O 0.3753 0.1248 0.2378
O14 O 0.3757 0.1254 0.7471
```

=====

Entry 4:
The following is a theoretical powder X-ray diffraction pattern of K4Na4Nb3W5O24. It was derived from a structure optimized by DFT (GGA+U), using λ = 1.5418 Å (Cu Kα).
Peak positions follow from Bragg's law for the DFT cell and can differ from measured ones.

Largest 6 diffraction maxima, in order of rising 2θ, 2θ from 10° to 80°:
2theta	d (Å)	I (rel.)
22.15	4.013	79.8
31.53	2.837	100.0
45.14	2.009	23.3
50.84	1.796	22.9
56.11	1.639	26.3
65.87	1.418	13.7

Structural model:
```
data_K4Na4Nb3W5O24
_cell_length_a 8.0338
_cell_length_b 8.0352
_cell_length_c 8.0075
_cell_angle_alpha 90.00
_cell_angle_beta 90.00
_cell_angle_gamma 90.00
_symmetry_space_group_name_H-M 'P m m 2'
_symmetry_Int_Tables_number 25
_symmetry_space_group_name_Hall 'P 2 -2'
loop_
_atom_site_label
_atom_site_type_symbol
_atom_site_fract_x
_atom_site_fract_y
_atom_site_fract_z
K1 K 0.2485 0.2491 0.0000
Na1 Na 0.2408 0.2474 0.4907
Nb1 Nb 0.0000 0.0000 0.2490
Nb2 Nb 0.0000 0.0000 0.7449
Nb3 Nb 0.5000 0.0000 0.2519
W1 W 0.0000 0.5000 0.2501
W2 W 0.0000 0.5000 0.7458
W3 W 0.5000 0.0000 0.7462
W4 W 0.5000 0.5000 0.2523
W5 W 0.5000 0.5000 0.7472
O1 O 0.0000 0.0000 0.4984
O2 O 0.0000 0.0000 0.9985
O3 O 0.0000 0.2475 0.7428
O4 O 0.0000 0.2476 0.2548
O5 O 0.0000 0.5000 0.0049
O6 O 0.0000 0.5000 0.4940
O7 O 0.2422 0.5000 0.7451
O8 O 0.2503 0.5000 0.2552
O9 O 0.2532 0.0000 0.2542
O10 O 0.2555 0.0000 0.7434
O11 O 0.5000 0.0000 0.5029
O12 O 0.5000 0.0000 0.9926
O13 O 0.5000 0.2442 0.7447
O14 O 0.5000 0.2547 0.2535
O15 O 0.5000 0.5000 0.5068
O16 O 0.5000 0.5000 0.9908
```